Computed PXRD pattern of CsAlVO4 for Cu Kα (λ = 1.5418 Å), from DFT lattice parameters and positions (GGA+U).

Structural model:
Lattice parameters (Å, degrees): 5.3617 5.5584 7.6424 90.00 90.07 90.00
Space group P2_1/m (No. 11)
Symmetry-distinct sites (fractional):
Cs (0.2387, 0.2500, 0.3971) (multiplicity 2)
Al (0.3541, 0.2500, 0.8753) (multiplicity 2)
V (0.1658, 0.7500, 0.0223) (multiplicity 2)
O (0.1097, 0.0254, 0.8654) (multiplicity 4)
O (0.3591, 0.7500, 0.2410) (multiplicity 2)
O (0.4919, 0.7500, 0.9214) (multiplicity 2)

Principal peaks in the range 2θ from 10° to 90°, low angle first:
- 2θ = 20.23°, I = 22, hkl 1 0 -1
- 2θ = 23.05°, I = 35, hkl 1 1 0
- 2θ = 25.86°, I = 100, hkl 1 1 -1
- 2θ = 28.34°, I = 58, hkl 0 1 2
- 2θ = 28.69°, I = 55, hkl 1 0 2
- 2θ = 32.21°, I = 36, hkl 0 2 0
- 2θ = 38.34°, I = 20, hkl 1 2 1
- 2θ = 39.14°, I = 25, hkl 2 1 1
- 2θ = 44.36°, I = 33, hkl 2 1 -2
- 2θ = 53.53°, I = 25, hkl 1 1 4